For Mg2TlPb2, DFT lattice parameters and positions (GGA-PBE) gives the simulated powder diffraction line list in this record (Cu Kα, 1.54184 Å).

Structural model:
```
Mg2TlPb2
1.0
4.9203 0.0000 0.0000
0.0000 4.9203 0.0000
0.0000 0.0000 12.6934
Mg Tl Pb
4 2 4
direct
0.0000 0.5000 0.2500 Mg
0.0000 0.5000 0.7500 Mg
0.5000 0.0000 0.2500 Mg
0.5000 0.0000 0.7500 Mg
0.0000 0.0000 0.0000 Tl
0.5000 0.5000 0.5000 Tl
0.0000 0.0000 0.3841 Pb
0.0000 0.0000 0.6159 Pb
0.5000 0.5000 0.1159 Pb
0.5000 0.5000 0.8841 Pb
```

Main lines, low angle first (2θ = 10–80°):
- 2θ = 13.95°, I = 24
- 2θ = 25.60°, I = 100
- 2θ = 27.81°, I = 100
- 2θ = 29.27°, I = 42
- 2θ = 36.52°, I = 57
- 2θ = 39.96°, I = 64
- 2θ = 46.52°, I = 51
- 2θ = 52.61°, I = 20
- 2θ = 55.24°, I = 51
- 2θ = 59.40°, I = 21



For Mg7Tl2Pb, DFT lattice parameters and positions (GGA-PBE) gives the simulated powder diffraction line list in this record (Cu Kα, 1.54184 Å).

Structural model:
```
Mg7Tl2Pb
1.0
-2.4450 2.4450 10.6334
2.4450 -2.4450 10.6334
2.4450 2.4450 -10.6334
Mg Tl Pb
7 2 1
direct
0.0000 0.0000 0.0000 Mg
0.0950 0.5950 0.5000 Mg
0.2500 0.7500 0.5000 Mg
0.4050 0.9050 0.5000 Mg
0.5950 0.0950 0.5000 Mg
0.7500 0.2500 0.5000 Mg
0.9050 0.4050 0.5000 Mg
0.1717 0.1717 0.0000 Tl
0.8283 0.8283 0.0000 Tl
0.5000 0.5000 0.0000 Pb
```

Main lines, low angle first (2θ = 10–80°):
- 2θ = 22.08°, I = 100
- 2θ = 25.12°, I = 12
- 2θ = 25.77°, I = 23
- 2θ = 36.30°, I = 51
- 2θ = 36.76°, I = 26
- 2θ = 42.49°, I = 18
- 2θ = 43.30°, I = 36
- 2θ = 45.05°, I = 11
- 2θ = 57.41°, I = 16
- 2θ = 65.90°, I = 18



For Mg2TlPb2, DFT lattice parameters and positions (GGA-PBE) gives the simulated powder diffraction line list in this record (Cu Kα, 1.54184 Å).

Structural model:
```
Mg2TlPb2
1.0
3.3924 0.0000 0.0000
0.0000 17.0007 0.0000
0.0000 0.0000 5.0353
Mg Tl Pb
4 2 4
direct
0.0000 0.1767 0.0000 Mg
0.0000 0.8233 0.0000 Mg
0.5000 0.3233 0.0000 Mg
0.5000 0.6767 0.0000 Mg
0.0000 0.0000 0.0000 Tl
0.5000 0.5000 0.0000 Tl
0.0000 0.3909 0.5000 Pb
0.0000 0.6091 0.5000 Pb
0.5000 0.1091 0.5000 Pb
0.5000 0.8909 0.5000 Pb
```

Main lines, low angle first (2θ = 10–80°):
- 2θ = 10.41°, I = 70
- 2θ = 27.46°, I = 82
- 2θ = 30.72°, I = 22
- 2θ = 32.25°, I = 100
- 2θ = 35.66°, I = 29
- 2θ = 36.38°, I = 29
- 2θ = 37.45°, I = 46
- 2θ = 52.67°, I = 35
- 2θ = 58.89°, I = 20
- 2θ = 61.69°, I = 18



For Mg4Tl5Pb2, DFT lattice parameters and positions (GGA-PBE) gives the simulated powder diffraction line list in this record (Cu Kα, 1.54184 Å).

Structural model:
```
Mg4Tl5Pb2
1.0
4.4776 0.0000 0.0000
0.1608 7.8357 0.0000
2.1373 2.4194 8.5260
Mg Tl Pb
4 5 2
direct
0.0437 0.2289 0.4174 Mg
0.2300 0.1401 0.0500 Mg
0.7700 0.8599 0.9500 Mg
0.9563 0.7711 0.5826 Mg
0.1405 0.7049 0.2147 Tl
0.4084 0.0294 0.6842 Tl
0.5000 0.5000 0.5000 Tl
0.5916 0.9706 0.3158 Tl
0.8595 0.2951 0.7853 Tl
0.3146 0.5924 0.8572 Pb
0.6854 0.4076 0.1428 Pb
```

Main lines, low angle first (2θ = 10–80°):
- 2θ = 17.71°, I = 30
- 2θ = 32.13°, I = 99
- 2θ = 32.45°, I = 100
- 2θ = 32.67°, I = 99
- 2θ = 32.99°, I = 92
- 2θ = 36.21°, I = 75
- 2θ = 36.71°, I = 69
- 2θ = 40.30°, I = 56
- 2θ = 52.51°, I = 52
- 2θ = 54.90°, I = 45



For Mg7TlPb4, DFT lattice parameters and positions (GGA-PBE) gives the simulated powder diffraction line list in this record (Cu Kα, 1.54184 Å).

Structural model:
```
Mg7TlPb4
1.0
5.1846 0.0000 0.0000
-2.5923 4.4900 0.0000
0.0000 0.0000 13.2232
Mg Tl Pb
7 1 4
direct
0.0000 0.0000 0.0000 Mg
0.0000 0.0000 0.2473 Mg
0.0000 0.0000 0.7527 Mg
0.3333 0.6667 0.1625 Mg
0.3333 0.6667 0.4141 Mg
0.6667 0.3333 0.5859 Mg
0.6667 0.3333 0.8375 Mg
0.0000 0.0000 0.5000 Tl
0.3333 0.6667 0.6613 Pb
0.3333 0.6667 0.9127 Pb
0.6667 0.3333 0.0873 Pb
0.6667 0.3333 0.3387 Pb
```

Main lines, low angle first (2θ = 10–80°):
- 2θ = 20.89°, I = 100
- 2θ = 28.37°, I = 48
- 2θ = 33.67°, I = 97
- 2θ = 34.60°, I = 90
- 2θ = 40.77°, I = 19
- 2θ = 49.05°, I = 34
- 2θ = 49.22°, I = 19
- 2θ = 59.60°, I = 20
- 2θ = 61.41°, I = 35
- 2θ = 62.01°, I = 17



For Mg4Tl3Pb2, DFT lattice parameters and positions (GGA-PBE) gives the simulated powder diffraction line list in this record (Cu Kα, 1.54184 Å).

Structural model:
```
Mg4Tl3Pb2
1.0
5.2092 0.0000 0.0000
2.6040 4.5191 0.0000
0.0063 -0.0024 10.1602
Mg Tl Pb
4 3 2
direct
0.9996 0.0007 0.3292 Mg
0.0004 0.9993 0.6708 Mg
0.3336 0.3329 0.8979 Mg
0.6664 0.6671 0.1021 Mg
0.0000 0.0000 0.0000 Tl
0.3335 0.3331 0.5707 Tl
0.6665 0.6669 0.4293 Tl
0.3330 0.3338 0.2151 Pb
0.6670 0.6662 0.7849 Pb
```

Main lines, low angle first (2θ = 10–80°):
- 2θ = 21.54°, I = 52
- 2θ = 26.40°, I = 37
- 2θ = 26.42°, I = 18
- 2θ = 33.06°, I = 100
- 2θ = 34.40°, I = 90
- 2θ = 48.46°, I = 35
- 2θ = 57.51°, I = 18
- 2θ = 58.19°, I = 17
- 2θ = 60.76°, I = 30
- 2θ = 61.62°, I = 17